1.
Calculated powder XRD pattern
Compound: Ac2NdC2I2
Radiation: Cu Ka
Structure: a structure optimized by DFT (GGA-PBE)
No peak broadening, texture or thermal motion is included.

Crystal structure
Cell: 4.7952 4.7952 17.8619 Å, 90.00 90.00 90.00°
Space group I4/mmm (No. 139)
Unique sites:
Ac 0.0000 0.0000 0.0935 x4
Nd 0.0000 0.0000 0.5000 x2
C 0.0000 0.5000 0.0000 x4
I 0.0000 0.0000 0.3154 x4

Largest 12 diffraction maxima, most intense first, 15° ≤ 2θ ≤ 90°:
- (1 0 5), 31.2 deg, I 100
- (1 1 0), 26.3 deg, I 80
- (2 1 5), 49.6 deg, I 56
- (2 0 0), 37.5 deg, I 35
- (3 1 0), 61.1 deg, I 16
- (3 2 5), 76.4 deg, I 16
- (3 0 5), 63.8 deg, I 13
- (1 1 10), 58.4 deg, I 12
- (2 2 0), 54.1 deg, I 12
- (3 1 10), 83.7 deg, I 12
- (4 1 5), 88.4 deg, I 11
- (2 0 10), 65.1 deg, I 10

2.
Calculated powder XRD pattern
Compound: Cs3Na2TbBr8
Radiation: Cu Ka
Structure: a structure optimized by DFT (GGA-PBE)
No peak broadening, texture or thermal motion is included.

Crystal structure
Cell: 8.0335 8.0335 10.7577 Å, 90.00 90.00 120.00°
Space group P-3m1 (No. 164)
Unique sites:
Cs 0.0000 0.0000 0.0000 x1
Cs 0.3333 0.6667 0.6242 x2
Na 0.3333 0.6667 0.1899 x2
Tb 0.0000 0.0000 0.5000 x1
Br 0.1620 0.3240 0.3441 x6
Br 0.3333 0.6667 0.9408 x2

Largest 12 diffraction maxima, most intense first, 15° ≤ 2θ ≤ 90°:
- (2 0 2), 30.6 deg, I 100
- (1 1 0), 22.1 deg, I 97
- (0 2 1), 26.9 deg, I 97
- (0 2 4), 42.5 deg, I 73
- (2 2 0), 45.1 deg, I 62
- (1 1 2), 27.7 deg, I 59
- (2 0 3), 36.0 deg, I 45
- (0 0 3), 24.8 deg, I 30
- (4 0 4), 63.7 deg, I 27
- (0 1 2), 20.9 deg, I 27
- (0 1 3), 28.0 deg, I 24
- (2 2 3), 52.2 deg, I 22

3.
Calculated powder XRD pattern
Compound: PdRhSe4
Radiation: Cu Ka
Structure: a structure optimized by DFT (GGA-PBE)
No peak broadening, texture or thermal motion is included.

Crystal structure
Cell: 4.9776 3.7665 6.5063 Å, 90.00 90.96 90.00°
Space group P2/m (No. 10)
Unique sites:
Pd 0.0000 0.0000 0.0000 x1
Rh 0.0000 0.5000 0.5000 x1
Se 0.2547 0.5000 0.8323 x2
Se 0.2615 0.0000 0.3466 x2

Largest 12 diffraction maxima, most intense first, 15° ≤ 2θ ≤ 90°:
- (1 1 -1), 32.7 deg, I 100
- (1 0 2), 33.2 deg, I 51
- (0 1 3), 48.4 deg, I 37
- (1 0 0), 17.8 deg, I 37
- (2 1 1), 46.1 deg, I 26
- (2 1 -1), 45.7 deg, I 20
- (0 2 0), 48.3 deg, I 19
- (1 2 2), 59.9 deg, I 18
- (1 3 -1), 80.1 deg, I 14
- (3 1 1), 63.1 deg, I 12
- (2 0 -2), 45.5 deg, I 12
- (1 0 -4), 59.5 deg, I 8

4.
Calculated powder XRD pattern
Compound: Cd2In5Ga4
Radiation: Cu Ka
Structure: a structure optimized by DFT (GGA-PBE)
No peak broadening, texture or thermal motion is included.

Crystal structure
Cell: 22.2288 3.1039 7.9060 Å, 90.00 97.19 90.00°
Space group C2/m (No. 12)
Unique sites:
Cd 0.2446 0.0000 0.1634 x4
In 0.0000 0.0000 0.5000 x2
In 0.1135 0.5000 0.8284 x4
In 0.1764 0.5000 0.4838 x4
Ga 0.0172 0.5000 0.1703 x4
Ga 0.1180 0.0000 0.1736 x4

Largest 12 diffraction maxima, most intense first, 15° ≤ 2θ ≤ 90°:
- (0 0 3), 34.3 deg, I 100
- (7 1 -1), 41.4 deg, I 61
- (6 0 1), 28.1 deg, I 58
- (1 1 1), 31.4 deg, I 52
- (6 0 -2), 31.2 deg, I 50
- (1 1 -2), 36.8 deg, I 44
- (0 2 3), 70.6 deg, I 39
- (3 1 1), 33.9 deg, I 35
- (8 0 0), 32.5 deg, I 31
- (7 1 2), 49.0 deg, I 29
- (8 0 -1), 33.1 deg, I 25
- (3 1 -1), 32.8 deg, I 24